Record 1
Structure and simulated XRD peak list of BaYF5 (a crystal structure in the Materials Project, relaxed with PBE; Cu Ka).
Peak positions follow from Bragg's law for the DFT cell and can differ from measured ones.

Main lines, in order of rising 2θ (5 to 70 degrees two-theta):
| 2theta | I (rel.) |
| --- | --- |
| 26.32 | 100 |
| 32.33 | 15 |
| 42.20 | 48 |
| 46.38 | 21 |
| 46.51 | 17 |
| 54.11 | 32 |

Structure:
Unit cell a=13.515 b=3.915 c=3.916 alpha=90.00 beta=90.00 gamma=90.00
Element x y z (fractional)
1 Ba 0.250 0.000 0.007
2 Ba 0.750 0.000 0.993
3 Y 0.000 0.500 0.500
4 Y 0.500 0.500 0.500
5 F 0.093 0.000 0.506
6 F 0.093 0.500 0.004
7 F 0.250 0.500 0.507
8 F 0.407 0.000 0.506
9 F 0.407 0.500 0.004
10 F 0.593 0.000 0.494
11 F 0.593 0.500 0.996
12 F 0.750 0.500 0.493
13 F 0.907 0.000 0.494
14 F 0.907 0.500 0.996

Record 2
Structure and simulated XRD peak list of Nd2Mg (a crystal structure in the Materials Project, relaxed with PBE; Cu Ka).
Peak positions follow from Bragg's law for the DFT cell and can differ from measured ones.

Main lines, in order of rising 2θ (5 to 70 degrees two-theta):
| 2theta | I (rel.) |
| --- | --- |
| 24.09 | 41 |
| 31.31 | 100 |
| 32.82 | 47 |
| 47.09 | 17 |
| 54.76 | 17 |
| 57.64 | 35 |

Structure:
Unit cell a=3.859 b=3.859 c=12.747 alpha=90.00 beta=90.00 gamma=90.00
Element x y z (fractional)
1 Nd 0.000 0.000 0.153
2 Nd 0.000 0.000 0.847
3 Nd 0.500 0.500 0.347
4 Nd 0.500 0.500 0.653
5 Mg 0.000 0.000 0.500
6 Mg 0.500 0.500 0.000

Record 3
Structure and simulated XRD peak list of PtCl2 (a crystal structure in the Materials Project, relaxed with PBE; Cu Ka).
Peak positions follow from Bragg's law for the DFT cell and can differ from measured ones.

Main lines, in order of rising 2θ (5 to 70 degrees two-theta):
| 2theta | I (rel.) |
| --- | --- |
| 11.66 | 100 |
| 21.51 | 18 |
| 23.81 | 25 |
| 25.32 | 25 |
| 37.02 | 25 |
| 40.80 | 14 |

Structure:
Unit cell a=4.690 b=4.704 c=7.801 alpha=100.11 beta=95.53 gamma=105.62
Element x y z (fractional)
1 Pt 0.209 0.282 0.093
2 Pt 0.791 0.718 0.907
3 Cl 0.217 0.082 0.336
4 Cl 0.255 0.560 0.865
5 Cl 0.745 0.440 0.135
6 Cl 0.783 0.918 0.664

Record 4
Structure and simulated XRD peak list of Sm2Re3B6 (a crystal structure in the Materials Project, relaxed with PBE; Cu Ka).
Peak positions follow from Bragg's law for the DFT cell and can differ from measured ones.

Main lines, in order of rising 2θ (5 to 70 degrees two-theta):
| 2theta | I (rel.) |
| --- | --- |
| 28.47 | 82 |
| 33.32 | 100 |
| 36.00 | 50 |
| 38.81 | 36 |
| 42.67 | 26 |
| 46.42 | 24 |

Structure:
Unit cell a=6.286 b=6.286 c=7.569 alpha=90.53 beta=90.53 gamma=114.44
Element x y z (fractional)
1 Sm 0.058 0.405 0.175
2 Sm 0.405 0.058 0.675
3 Sm 0.595 0.942 0.325
4 Sm 0.942 0.595 0.825
5 Re 0.086 0.914 0.250
6 Re 0.305 0.490 0.588
7 Re 0.490 0.305 0.088
8 Re 0.510 0.695 0.912
9 Re 0.695 0.510 0.412
10 Re 0.914 0.086 0.750
11 B 0.057 0.150 0.465
12 B 0.088 0.660 0.480
13 B 0.150 0.057 0.965
14 B 0.255 0.347 0.868
15 B 0.340 0.912 0.020
16 B 0.347 0.255 0.368
17 B 0.653 0.745 0.632
18 B 0.660 0.088 0.980
19 B 0.745 0.653 0.132
20 B 0.850 0.943 0.035
21 B 0.912 0.340 0.520
22 B 0.943 0.850 0.535

Record 5
Structure and simulated XRD peak list of NdNiAs (a crystal structure in the Materials Project, relaxed with PBE; Cu Ka).
Peak positions follow from Bragg's law for the DFT cell and can differ from measured ones.

Main lines, in order of rising 2θ (5 to 70 degrees two-theta):
| 2theta | I (rel.) |
| --- | --- |
| 24.88 | 12 |
| 33.41 | 100 |
| 43.82 | 41 |
| 44.73 | 13 |
| 56.20 | 22 |
| 64.41 | 25 |

Structure:
Unit cell a=4.132 b=4.132 c=16.210 alpha=90.00 beta=90.00 gamma=120.00
Element x y z (fractional)
1 Nd 0.000 0.000 0.000
2 Nd 0.000 0.000 0.250
3 Nd 0.000 0.000 0.500
4 Nd 0.000 0.000 0.750
5 Ni 0.333 0.667 0.128
6 Ni 0.333 0.667 0.372
7 Ni 0.667 0.333 0.628
8 Ni 0.667 0.333 0.872
9 As 0.333 0.667 0.623
10 As 0.333 0.667 0.877
11 As 0.667 0.333 0.123
12 As 0.667 0.333 0.377

Record 6
Structure and simulated XRD peak list of La3RuI3 (a crystal structure in the Materials Project, relaxed with PBE; Cu Ka).
Peak positions follow from Bragg's law for the DFT cell and can differ from measured ones.

Main lines, in order of rising 2θ (5 to 70 degrees two-theta):
| 2theta | I (rel.) |
| --- | --- |
| 7.01 | 19 |
| 27.55 | 100 |
| 28.32 | 41 |
| 39.09 | 29 |
| 40.75 | 28 |
| 41.01 | 19 |

Structure:
Unit cell a=9.573 b=4.402 c=12.625 alpha=90.00 beta=93.39 gamma=90.00
Element x y z (fractional)
1 La 0.095 0.250 0.396
2 La 0.118 0.250 0.831
3 La 0.316 0.750 0.621
4 La 0.684 0.250 0.379
5 La 0.882 0.750 0.169
6 La 0.905 0.750 0.604
7 Ru 0.115 0.250 0.629
8 Ru 0.885 0.750 0.371
9 I 0.131 0.250 0.120
10 I 0.369 0.750 0.880
11 I 0.392 0.750 0.365
12 I 0.608 0.250 0.635
13 I 0.631 0.250 0.120
14 I 0.869 0.750 0.880

Record 7
Structure and simulated XRD peak list of U2SnIr2 (a crystal structure in the Materials Project, relaxed with PBE; Cu Ka).
Peak positions follow from Bragg's law for the DFT cell and can differ from measured ones.

Main lines, in order of rising 2θ (5 to 70 degrees two-theta):
| 2theta | I (rel.) |
| --- | --- |
| 34.48 | 16 |
| 36.47 | 100 |
| 36.95 | 38 |
| 51.79 | 11 |
| 55.72 | 14 |
| 65.31 | 15 |

Structure:
Unit cell a=7.693 b=7.693 c=3.530 alpha=90.00 beta=90.00 gamma=90.00
Element x y z (fractional)
1 U 0.170 0.330 0.000
2 U 0.330 0.830 0.000
3 U 0.670 0.170 0.000
4 U 0.830 0.670 0.000
5 Sn 0.000 0.000 0.500
6 Sn 0.500 0.500 0.500
7 Ir 0.134 0.634 0.500
8 Ir 0.366 0.134 0.500
9 Ir 0.634 0.866 0.500
10 Ir 0.866 0.366 0.500

Question: Which formula does entry 5 have?
Answer: NdNiAs